Record 1
The following is a theoretical powder diffraction line list of YEr6Tm5. It was derived from DFT lattice parameters and positions (PBE), using CuKα.
Intensities are scaled so that the largest is 100.

Peak list (7 most intense, 2θ = 10–80°, low angle first)
2θ/deg	d [Å]	Rel. int.	hkl
31.3	2.860	100.0	1 3 1
36.3	2.477	50.5	2 0 2
52.2	1.751	35.8	1 3 5
62.1	1.494	21.3	4 0 0
62.2	1.493	21.2	0 6 4
65.2	1.430	12.2	2 6 2
77.0	1.238	5.7	4 0 4

Cell and atoms:
Cell: 6.072 10.502 11.616 Å, 90.00 100.01 90.00°
Space group C2/m (No. 12)
Unique sites:
Y 0.000 0.000 0.000
Er 0.249 0.500 0.251
Er 0.250 0.167 0.251
Tm 0.000 0.167 0.500
Tm 0.000 0.333 0.000
Tm 0.000 0.500 0.500



Record 2
The following is a theoretical powder diffraction line list of Y9ErTm4. It was derived from DFT lattice parameters and positions (PBE), using CuKα.
Intensities are scaled so that the largest is 100.

Peak list (10 most intense, 2θ = 10–80°, low angle first)
2θ/deg	d [Å]	Rel. int.	hkl
10.6	8.369	22.7	1 0 0
22.7	3.922	22.8	2 0 1
31.8	2.813	32.7	0 0 4
32.1	2.792	28.5	2 0 3
32.5	2.757	100.0	2 1 2
33.1	2.708	38.5	3 0 1
52.2	1.751	18.8	3 0 5
57.1	1.614	17.4	2 1 6
57.2	1.611	17.0	3 3 0
67.0	1.398	20.5	3 3 4

Cell and atoms:
Cell: 9.6638 9.6638 11.2514 Å, 90.00 90.00 120.00°
Space group P6_3/mmc (No. 194)
Unique sites:
Y 0.0805 0.5402 0.2500
Y 0.2089 0.4179 0.5255
Er 0.3333 0.6667 0.7500
Tm 0.0000 0.0000 0.0000
Tm 0.1100 0.2199 0.2500



Record 3
The following is a theoretical powder diffraction line list of Y4Er3Tm5. It was derived from DFT lattice parameters and positions (PBE), using CuKα.
Intensities are scaled so that the largest is 100.

Peak list (10 most intense, 2θ = 10–80°, low angle first)
2θ/deg	d [Å]	Rel. int.	hkl
10.3	8.617	2.6	0 0 1
31.1	2.874	100.0	1 2 1
36.1	2.489	50.7	2 0 2
51.9	1.762	17.8	3 2 0
52.0	1.759	17.7	3 -2 0
61.7	1.502	17.6	3 2 3
61.8	1.500	24.5	4 0 1
64.8	1.439	6.1	2 4 2
64.9	1.436	6.0	0 0 6
76.6	1.244	3.8	4 0 4

Cell and atoms:
Cell: 6.093 7.052 8.617 Å, 89.94 89.95 89.96°
Space group P-1 (No. 2)
Unique sites:
Y 0.166 0.251 0.332
Y 0.332 0.000 0.668
Er 0.000 0.500 0.000
Er 0.168 0.749 0.332
Tm 0.000 0.000 0.000
Tm 0.334 0.500 0.668
Tm 0.499 0.749 0.000



Record 4
The following is a theoretical powder diffraction line list of YErTm14. It was derived from DFT lattice parameters and positions (PBE), using CuKα.
Intensities are scaled so that the largest is 100.

Peak list (10 most intense, 2θ = 10–80°, low angle first)
2θ/deg	d [Å]	Rel. int.	hkl
28.8	3.098	10.8	1 2 2
31.1	2.874	16.5	2 1 3
32.0	2.796	14.6	0 0 4
32.2	2.784	100.0	2 2 2
32.6	2.749	33.4	4 0 0
33.1	2.709	12.2	1 0 4
46.3	1.960	10.1	4 0 4
53.7	1.705	8.1	0 3 5
57.9	1.594	17.4	6 2 2
64.3	1.449	9.1	4 3 5

Cell and atoms:
Cell: 10.995 7.909 11.183 Å, 90.00 90.00 90.00°
Space group Amm2 (No. 38)
Unique sites:
Y 0.000 0.000 0.000
Er 0.000 0.000 0.453
Tm 0.000 0.208 0.725
Tm 0.235 0.000 0.203
Tm 0.252 0.212 0.927
Tm 0.266 0.000 0.652
Tm 0.500 0.000 0.401
Tm 0.500 0.000 0.854
Tm 0.500 0.208 0.130



Record 5
The following is a theoretical powder diffraction line list of Y15ErTm4. It was derived from DFT lattice parameters and positions (PBE), using CuKα.
Intensities are scaled so that the largest is 100.

Peak list (10 most intense, 2θ = 10–80°, low angle first)
2θ/deg	d [Å]	Rel. int.	hkl
17.7	5.022	8.2	1 0 0
25.1	3.551	7.3	1 1 0
30.8	2.899	100.0	1 1 5
35.8	2.511	50.2	2 0 0
40.2	2.246	4.5	2 1 0
44.2	2.050	3.5	2 1 5
51.5	1.775	35.0	2 2 0
61.2	1.514	41.1	3 1 5
64.3	1.450	11.8	2 2 10
75.8	1.255	5.4	4 0 0

Cell and atoms:
Cell: 5.021 5.021 25.117 Å, 90.00 90.00 90.00°
Space group P4/mmm (No. 123)
Unique sites:
Y 0.000 0.000 0.000
Y 0.000 0.000 0.200
Y 0.000 0.000 0.400
Y 0.000 0.500 0.100
Y 0.000 0.500 0.300
Y 0.000 0.500 0.500
Er 0.500 0.500 0.000
Tm 0.500 0.500 0.200
Tm 0.500 0.500 0.400



Record 6
The following is a theoretical powder diffraction line list of YEr4Tm5. It was derived from DFT lattice parameters and positions (PBE), using CuKα.
Intensities are scaled so that the largest is 100.

Peak list (10 most intense, 2θ = 10–80°, low angle first)
2θ/deg	d [Å]	Rel. int.	hkl
31.1	2.872	84.4	1 2 1
31.9	2.805	100.0	1 0 3
33.4	2.681	46.4	2 0 1
33.8	2.655	41.8	0 2 -2
34.8	2.575	24.6	-1 2 1
42.0	2.153	15.9	0 2 3
48.2	1.886	30.9	2 2 -1
58.8	1.571	17.6	3 0 4
59.7	1.549	17.4	1 2 -4
62.9	1.477	34.5	1 4 3

Cell and atoms:
Cell: 5.361 6.951 8.649 Å, 89.97 72.05 89.98°
Space group P1 (No. 1)
Unique sites:
Y 0.000 0.000 0.000
Er 0.200 0.000 0.600
Er 0.389 0.251 0.221
Er 0.611 0.252 0.778
Er 0.800 0.501 0.399
Tm 0.000 0.501 0.000
Tm 0.200 0.501 0.602
Tm 0.389 0.750 0.221
Tm 0.611 0.750 0.778
Tm 0.800 0.000 0.400



Record 7
The following is a theoretical powder diffraction line list of Y12ErTm2. It was derived from DFT lattice parameters and positions (PBE), using CuKα.
Intensities are scaled so that the largest is 100.

Peak list (10 most intense, 2θ = 10–80°, low angle first)
2θ/deg	d [Å]	Rel. int.	hkl
26.6	3.349	13.2	0 0 7
29.9	2.986	12.8	1 0 4
31.0	2.884	33.2	0 1 7
31.6	2.834	41.2	0 2 0
32.1	2.787	100.0	1 1 -4
34.5	2.603	15.0	0 1 8
47.8	1.903	14.4	1 0 -11
56.6	1.627	19.5	1 3 -4
58.4	1.580	13.4	1 2 -11
60.4	1.532	12.5	2 2 -1

Cell and atoms:
Cell: 3.643 5.669 23.514 Å, 90.00 94.40 90.00°
Space group P2/m (No. 10)
Unique sites:
Y 0.035 0.000 0.066
Y 0.073 0.500 0.147
Y 0.160 0.000 0.321
Y 0.208 0.500 0.423
Y 0.281 0.000 0.558
Y 0.404 0.000 0.807
Er 0.500 0.500 0.000
Tm 0.359 0.500 0.716



Record 8
The following is a theoretical powder diffraction line list of Y2Er3Tm6Zr. It was derived from DFT lattice parameters and positions (PBE), using CuKα.
Intensities are scaled so that the largest is 100.

Peak list (10 most intense, 2θ = 10–80°, low angle first)
2θ/deg	d [Å]	Rel. int.	hkl
15.6	5.669	2.2	0 0 2
31.5	2.838	100.0	1 3 1
36.6	2.458	50.4	2 0 2
52.7	1.738	35.3	0 6 0
62.6	1.483	10.5	4 0 0
62.7	1.481	31.1	0 6 4
65.8	1.419	9.0	2 6 2
65.9	1.417	3.0	0 0 8
77.6	1.230	1.9	4 0 4
77.8	1.228	3.7	2 6 -6

Cell and atoms:
Cell: 6.028 10.424 11.512 Å, 90.00 100.00 90.00°
Space group C2/m (No. 12)
Unique sites:
Y 0.000 0.167 0.000
Er 0.000 0.000 0.500
Er 0.000 0.333 0.500
Tm 0.244 0.500 0.754
Tm 0.245 0.337 0.247
Zr 0.000 0.500 0.000



Record 9
The following is a theoretical powder diffraction line list of YEr2Tm5Zr. It was derived from DFT lattice parameters and positions (PBE), using CuKα.
Intensities are scaled so that the largest is 100.

Peak list (10 most intense, 2θ = 10–80°, low angle first)
2θ/deg	d [Å]	Rel. int.	hkl
26.8	3.327	25.1	0 6 1
28.1	3.177	19.5	1 3 2
32.3	2.773	59.1	2 0 0
32.8	2.731	100.0	1 5 2
33.5	2.677	17.9	1 7 0
33.6	2.670	65.4	1 1 3
34.9	2.571	35.4	1 7 1
57.9	1.592	22.1	3 5 2
58.4	1.581	15.6	3 1 3
66.2	1.411	16.5	2 6 5

Cell and atoms:
Cell: 5.545 21.397 9.232 Å, 90.00 90.00 90.00°
Space group Cmc2_1 (No. 36)
Unique sites:
Y 0.000 0.099 0.000
Er 0.000 0.365 0.285
Er 0.000 0.386 0.892
Tm 0.000 0.029 0.320
Tm 0.000 0.105 0.618
Tm 0.000 0.196 0.286
Tm 0.000 0.232 0.901
Tm 0.000 0.486 0.585
Zr 0.000 0.315 0.591



Record 10
The following is a theoretical powder diffraction line list of Er3Tm4Zn4. It was derived from DFT lattice parameters and positions (PBE), using CuKα.
Intensities are scaled so that the largest is 100.

Peak list (10 most intense, 2θ = 10–80°, low angle first)
2θ/deg	d [Å]	Rel. int.	hkl
24.4	3.655	23.4	1 0 3
28.4	3.145	20.8	0 2 2
30.9	2.891	27.7	0 1 5
31.5	2.843	33.7	1 1 4
32.1	2.787	100.0	1 2 1
33.3	2.694	31.5	1 0 5
35.7	2.517	52.6	2 0 0
35.9	2.498	37.9	1 2 3
42.7	2.117	20.4	1 2 5
73.4	1.290	20.2	1 2 11

Cell and atoms:
Cell: 5.034 6.845 15.948 Å, 90.00 90.00 90.00°
Space group Immm (No. 71)
Unique sites:
Er 0.000 0.000 0.000
Er 0.000 0.500 0.102
Tm 0.000 0.267 0.320
Zn 0.000 0.000 0.182
Zn 0.000 0.187 0.500



Record 11
The following is a theoretical powder diffraction line list of Er2Tm12Zr. It was derived from DFT lattice parameters and positions (PBE), using CuKα.
Intensities are scaled so that the largest is 100.

Peak list (10 most intense, 2θ = 10–80°, low angle first)
2θ/deg	d [Å]	Rel. int.	hkl
31.8	2.817	85.1	0 2 3
32.6	2.748	100.0	1 1 8
33.2	2.698	95.6	2 2 1
44.6	2.033	11.7	-1 1 10
47.6	1.909	16.5	1 3 -4
47.7	1.906	15.8	3 1 6
53.3	1.718	13.4	-2 2 1
58.4	1.580	15.6	2 4 4
63.9	1.457	21.5	-3 1 8
64.3	1.449	15.3	4 0 0

Cell and atoms:
Cell: 6.397 6.397 24.153 Å, 82.59 86.90 64.96°
Space group P-1 (No. 2)
Unique sites:
Er 0.001 0.134 0.229
Er 0.499 0.366 0.771
Tm 0.000 0.061 0.374
Tm 0.000 0.408 0.690
Tm 0.001 0.663 0.170
Tm 0.248 0.553 0.901
Tm 0.249 0.024 0.959
Tm 0.251 0.477 0.042
Tm 0.251 0.948 0.099
Tm 0.252 0.282 0.438
Tm 0.253 0.222 0.562
Tm 0.499 0.562 0.372
Tm 0.499 0.837 0.830
Tm 0.500 0.092 0.310
Zr 0.269 0.731 0.500